Structure and computed powder X-ray diffraction pattern of V4Co6Os7 (a crystal structure in Alexandria, relaxed with GGA-PBE; CuKα).

Structural model:
abc: 7.6849 7.6849 7.6849
angles: 90.00 90.00 90.00
Space group Im-3m (No. 229)
Inequivalent atoms, fractional coordinates:
V1 0.2500 0.2500 0.2500 x8
Co1 0.0000 0.0000 0.2945 x12
Os1 0.0000 0.0000 0.0000 x2
Os2 0.0000 0.2500 0.5000 x12

Most intense lines, 2θ = 10–90°, in order of falling intensity:
- 2.218 Å, rel. 100.0, hkl 2 2 2
- 1.921 Å, rel. 75.5, hkl 4 0 0
- 2.054 Å, rel. 60.4, hkl 3 2 1
- 3.137 Å, rel. 54.1, hkl 2 1 1
- 1.359 Å, rel. 44.2, hkl 4 4 0
- 3.842 Å, rel. 38.1, hkl 2 0 0
- 1.159 Å, rel. 30.8, hkl 6 2 2
- 1.638 Å, rel. 22.9, hkl 3 3 2
- 1.247 Å, rel. 14.9, hkl 6 1 1
- 1.109 Å, rel. 14.7, hkl 4 4 4